For Co3B2O6, a cell relaxed with PBE+U gives the calculated powder diffraction line list in this record (CuKα).

The 10 most intense peaks (15° ≤ 2θ ≤ 90°), by angle:
2theta	I (rel.)	hkl
22.28	37	1 0 1
25.63	20	1 1 0
33.41	100	1 1 2
35.99	38	0 1 3
40.23	46	1 2 1
52.67	30	2 2 0
54.73	39	2 1 3
59.27	16	1 3 2
60.96	19	0 3 3
68.75	16	1 2 5

Structure:
```
22
Lattice="4.530 0.000 0.000 0.000 5.420 0.000 0.000 0.000 8.434" Properties=species:S:1:pos:R:3 pbc="T T T"
Co 0.000 0.000 0.000
Co 0.000 2.710 1.585
Co 0.000 2.710 6.849
Co 2.265 0.000 2.632
Co 2.265 0.000 5.801
Co 2.265 2.710 4.217
B 0.201 1.316 4.217
B 2.064 4.026 0.000
B 2.466 1.394 0.000
B 4.329 4.104 4.217
O 0.909 1.580 3.044
O 0.909 1.580 5.390
O 1.133 1.736 0.000
O 1.132 4.446 4.217
O 1.356 4.290 1.173
O 1.356 4.290 7.261
O 3.174 1.130 1.173
O 3.174 1.130 7.261
O 3.398 0.973 4.217
O 3.396 3.683 0.000
O 3.621 3.840 3.044
O 3.621 3.840 5.390
```